# Dy4AgPt2
Computed X-ray diffraction stick pattern, Cu Ka. Input: a structure optimized by DFT (PBE).
Neutral-atom scattering factors, no anomalous dispersion.

Peak list (10 most intense, 15 to 90 degrees two-theta, low angle first)
2θ/deg, I (rel.), h k l
28.98, 22.0, 2 2 -2
29.39, 35.0, 2 0 1
32.05, 100.0, 3 1 0
32.91, 65.9, 1 3 -1
36.23, 63.9, 2 2 1
40.82, 19.8, 3 1 -4
42.14, 39.5, 5 1 -3
45.88, 31.5, 1 1 -4
52.23, 21.8, 5 3 -3
72.00, 22.0, 3 3 3

Atomic structure:
a b c (Å): 11.206 8.578 9.150
angles (deg): 90.00 127.76 90.00
Space group C2 (No. 5)
Asymmetric unit:
1 Dy 0.052 0.000 0.349
2 Dy 0.088 0.604 0.239
3 Dy 0.152 0.354 0.739
4 Dy 0.203 0.250 0.151
5 Ag 0.000 0.680 0.500
6 Ag 0.000 0.930 0.000
7 Pt 0.170 0.310 0.441
8 Pt 0.230 0.560 0.059